1.
Li2GePd: theoretical powder X-ray diffraction pattern (Cu Kα, 1.54184 Å), based on a crystal structure in the Materials Project, relaxed with GGA-PBE.

Peak list (9 most intense, 2θ = 10–80°, sorted by position)
- (1 1 1), d = 3.512 Å, 25.36 deg, intensity 100
- (2 0 0), d = 3.041 Å, 29.37 deg, intensity 4
- (2 2 0), d = 2.150 Å, 42.02 deg, intensity 93
- (3 1 1), d = 1.834 Å, 49.72 deg, intensity 47
- (2 2 2), d = 1.756 Å, 52.09 deg, intensity 1
- (4 0 0), d = 1.521 Å, 60.93 deg, intensity 15
- (3 3 1), d = 1.395 Å, 67.08 deg, intensity 19
- (4 2 0), d = 1.360 Å, 69.06 deg, intensity 1
- (4 2 2), d = 1.242 Å, 76.77 deg, intensity 30

Atomic structure:
Cell lengths 6.0822, 6.0822, 6.0822 Å; angles 90.00, 90.00, 90.00 degrees
Space group F-43m (No. 216)
Inequivalent atoms, fractional coordinates:
Li1 0.0000 0.0000 0.0000
Li2 0.2500 0.2500 0.2500
Ge1 0.2500 0.2500 0.7500
Pd1 0.0000 0.0000 0.5000

=====

2.
La3MgCu4P4O2: theoretical powder X-ray diffraction pattern (Cu Kα, 1.54184 Å), based on a crystal structure in the Materials Project, relaxed with GGA-PBE.

Peak list (10 most intense, 2θ = 10–80°, sorted by position)
- (0 1 3), d = 4.240 Å, 20.95 deg, intensity 55
- (0 1 7), d = 2.878 Å, 31.07 deg, intensity 57
- (1 1 4), d = 2.823 Å, 31.69 deg, intensity 91
- (1 0 7), d = 2.690 Å, 33.31 deg, intensity 100
- (1 1 6), d = 2.516 Å, 35.69 deg, intensity 49
- (0 2 0), d = 2.470 Å, 36.37 deg, intensity 80
- (2 0 0), d = 2.068 Å, 43.77 deg, intensity 47
- (1 2 7), d = 1.819 Å, 50.14 deg, intensity 61
- (2 2 0), d = 1.586 Å, 58.15 deg, intensity 55
- (1 1 14), d = 1.546 Å, 59.82 deg, intensity 44

Atomic structure:
Cell lengths 4.1361, 4.9405, 24.7892 Å; angles 90.00, 90.00, 90.00 degrees
Space group Immm (No. 71)
Inequivalent atoms, fractional coordinates:
La1 0.0000 0.0000 0.0000
La2 0.0000 0.0000 0.2914
Mg1 0.0000 0.5000 0.0000
Cu1 0.0000 0.5000 0.1070
Cu2 0.0000 0.5000 0.4046
P1 0.0000 0.0000 0.1330
P2 0.0000 0.0000 0.4387
O1 0.0000 0.5000 0.2511

=====

3.
MgNb2P2O10: theoretical powder X-ray diffraction pattern (Cu Kα, 1.54184 Å), based on a crystal structure in the Materials Project, relaxed with GGA-PBE.

Peak list (10 most intense, 2θ = 10–80°, sorted by position)
- (0 2 0), d = 4.643 Å, 19.12 deg, intensity 26
- (0 0 1), d = 4.429 Å, 20.05 deg, intensity 63
- (1 1 1), d = 3.637 Å, 24.47 deg, intensity 38
- (2 2 0), d = 3.344 Å, 26.66 deg, intensity 100
- (2 2 -1), d = 2.712 Å, 33.02 deg, intensity 43
- (2 2 1), d = 2.627 Å, 34.13 deg, intensity 31
- (1 1 -2), d = 2.123 Å, 42.58 deg, intensity 17
- (3 3 -1), d = 2.018 Å, 44.91 deg, intensity 15
- (4 4 0), d = 1.672 Å, 54.92 deg, intensity 20
- (3 3 2), d = 1.546 Å, 59.81 deg, intensity 20

Atomic structure:
Cell lengths 9.6510, 9.2851, 4.4341 Å; angles 90.00, 92.75, 90.00 degrees
Space group C2/m (No. 12)
Inequivalent atoms, fractional coordinates:
Mg1 0.0000 0.0000 0.0000
Nb1 0.2503 0.0000 0.6014
P1 0.0000 0.2521 0.5000
O1 0.0855 0.1501 0.7203
O2 0.0997 0.3432 0.3204
O3 0.2060 0.0000 0.2019